Entry 1:
Calculated powder XRD pattern
Compound: ZnPbSO
Radiation: Cu Kα (λ = 1.5418 Å)
Structure: a DFT-relaxed cell (GGA-PBE, OQMD)
Neutral-atom scattering factors, no anomalous dispersion.

Top 8 peaks for 10° ≤ 2θ ≤ 80°, by angle:
two_theta  I_rel
18.76  28
22.95  35
27.07  100
30.26  35
31.78  26
32.55  43
34.51  41
46.90  32

Crystal structure
```
ZnPbSO
1.0
6.0699 0.0000 0.0000
0.0000 6.7624 0.0000
0.0000 0.0000 7.5442
Zn Pb S O
4 4 4 4
direct
0.0546 0.1712 0.3924 Zn
0.4454 0.8288 0.8924 Zn
0.5546 0.3288 0.6076 Zn
0.9454 0.6712 0.1076 Zn
0.0743 0.5575 0.6384 Pb
0.4257 0.4425 0.1384 Pb
0.5743 0.9425 0.3616 Pb
0.9257 0.0575 0.8616 Pb
0.1220 0.8324 0.3472 S
0.3780 0.1676 0.8472 S
0.6220 0.6676 0.6528 S
0.8780 0.3324 0.1528 S
0.1387 0.7260 0.9024 O
0.3613 0.2740 0.4024 O
0.6387 0.7740 0.0976 O
0.8613 0.2260 0.5976 O
```

---

Entry 2:
Calculated powder XRD pattern
Compound: Ho3Mg3TlInAg
Radiation: Cu Kα (λ = 1.5418 Å)
Structure: a DFT-relaxed cell (GGA-PBE, OQMD)
Neutral-atom scattering factors, no anomalous dispersion.

Top 8 peaks for 10° ≤ 2θ ≤ 80°, by angle:
two_theta  I_rel
13.46  26
23.43  36
31.11  88
34.04  100
36.14  22
41.03  25
41.18  28
41.74  27

Crystal structure
```
Ho3Mg3TlInAg
1.0
7.5937 0.0000 0.0000
-3.7969 6.5764 0.0000
0.0000 0.0000 4.3999
Ho Mg Tl In Ag
3 3 1 1 1
direct
0.0000 0.4160 0.0000 Ho
0.4160 0.0000 0.0000 Ho
0.5840 0.5840 0.0000 Ho
0.2397 0.2385 0.5000 Mg
0.7615 0.0012 0.5000 Mg
0.9988 0.7603 0.5000 Mg
0.3333 0.6667 0.5000 Tl
0.6667 0.3333 0.5000 In
0.0000 0.0000 0.0000 Ag
```

---

Entry 3:
Calculated powder XRD pattern
Compound: Gd2BiClO4
Radiation: Cu Kα (λ = 1.5418 Å)
Structure: a DFT-relaxed cell (GGA-PBE, OQMD)
Neutral-atom scattering factors, no anomalous dispersion.

Top 8 peaks for 10° ≤ 2θ ≤ 80°, by angle:
two_theta  I_rel
24.59  23
30.10  100
31.99  34
44.31  14
45.87  20
52.23  22
55.85  35
66.84  14

Crystal structure
```
Gd2BiClO4
1.0
3.9564 0.0000 0.0000
0.0000 3.9564 0.0000
0.0000 0.0000 8.9838
Gd Bi Cl O
2 1 1 4
direct
0.0000 0.0000 0.2310 Gd
0.0000 0.0000 0.7690 Gd
0.5000 0.5000 0.5000 Bi
0.5000 0.5000 0.0000 Cl
0.0000 0.5000 0.3356 O
0.0000 0.5000 0.6644 O
0.5000 0.0000 0.3356 O
0.5000 0.0000 0.6644 O
```

---

Entry 4:
Calculated powder XRD pattern
Compound: Y2HoCd3Au3
Radiation: Cu Kα (λ = 1.5418 Å)
Structure: a DFT-relaxed cell (GGA-PBE, OQMD)
Neutral-atom scattering factors, no anomalous dispersion.

Top 8 peaks for 10° ≤ 2θ ≤ 80°, by angle:
two_theta  I_rel
22.80  25
26.37  19
32.45  54
35.14  100
40.06  47
42.29  42
46.51  24
63.02  32

Crystal structure
```
Y2HoCd3Au3
1.0
3.9058 0.0000 0.0000
0.0000 6.7445 3.9043
0.0000 -6.7445 3.9043
Y Ho Cd Au
2 1 3 3
direct
0.0000 0.2015 0.7985 Y
0.0000 0.7985 0.2015 Y
0.0000 0.3954 0.3954 Ho
0.5000 0.0603 0.0603 Cd
0.5000 0.5360 0.7984 Cd
0.5000 0.7984 0.5360 Cd
0.0000 0.7974 0.7974 Au
0.5000 0.1335 0.4646 Au
0.5000 0.4646 0.1335 Au
```

---

> What is the formula in the fourth record?

Y2HoCd3Au3

---

Copy entry 1 word for word.
Calculated powder XRD pattern
Compound: ZnPbSO
Radiation: Cu Kα (λ = 1.5418 Å)
Structure: a DFT-relaxed cell (GGA-PBE, OQMD)
Neutral-atom scattering factors, no anomalous dispersion.

Top 8 peaks for 10° ≤ 2θ ≤ 80°, by angle:
two_theta  I_rel
18.76  28
22.95  35
27.07  100
30.26  35
31.78  26
32.55  43
34.51  41
46.90  32

Crystal structure
```
ZnPbSO
1.0
6.0699 0.0000 0.0000
0.0000 6.7624 0.0000
0.0000 0.0000 7.5442
Zn Pb S O
4 4 4 4
direct
0.0546 0.1712 0.3924 Zn
0.4454 0.8288 0.8924 Zn
0.5546 0.3288 0.6076 Zn
0.9454 0.6712 0.1076 Zn
0.0743 0.5575 0.6384 Pb
0.4257 0.4425 0.1384 Pb
0.5743 0.9425 0.3616 Pb
0.9257 0.0575 0.8616 Pb
0.1220 0.8324 0.3472 S
0.3780 0.1676 0.8472 S
0.6220 0.6676 0.6528 S
0.8780 0.3324 0.1528 S
0.1387 0.7260 0.9024 O
0.3613 0.2740 0.4024 O
0.6387 0.7740 0.0976 O
0.8613 0.2260 0.5976 O
```